1.
CeAsRuO: simulated PXRD pattern (Cu Kα), based on a crystal structure in the Materials Project, relaxed with PBE.
Peak positions follow from Bragg's law for the DFT cell and can differ from measured ones.

Largest 8 diffraction maxima, sorted by position, 2θ from 10° to 80°:
two_theta  I (rel.)
10.94  13
31.03  100
32.77  35
38.15  48
44.11  51
54.91  39
55.36  38
64.15  16

Cell and atoms:
```
CeAsRuO
1.0
4.1060 0.0000 0.0000
0.0000 4.1060 0.0000
0.0000 0.0000 8.0902
Ce As Ru O
2 2 2 2
Direct
0.2500 0.2500 0.1451
0.7500 0.7500 0.8549
0.2500 0.2500 0.6606
0.7500 0.7500 0.3394
0.2500 0.7500 0.5000
0.7500 0.2500 0.5000
0.2500 0.7500 0.0000
0.7500 0.2500 0.0000
```



2.
UTiNb2O10: simulated PXRD pattern (Cu Kα), based on a crystal structure in the Materials Project, relaxed with PBE.
Peak positions follow from Bragg's law for the DFT cell and can differ from measured ones.

Largest 8 diffraction maxima, sorted by position, 2θ from 10° to 80°:
two_theta  I (rel.)
14.92  21
20.55  64
20.86  44
28.27  100
29.00  18
35.20  45
39.17  20
50.08  18

Cell and atoms:
```
UTiNb2O10
1.0
0.0000 6.3037 8.6431
3.6522 0.0000 8.6431
3.6522 6.3037 0.0000
U Ti Nb O
2 2 4 20
Direct
0.1250 0.1250 0.1250
0.8750 0.8750 0.8750
0.3750 0.3750 0.3750
0.6250 0.6250 0.6250
0.1544 0.1544 0.5956
0.4044 0.4044 0.8456
0.5956 0.5956 0.1544
0.8456 0.8456 0.4044
0.0206 0.0206 0.2294
0.0733 0.6740 0.4745
0.0784 0.6716 0.0784
0.2294 0.2294 0.0206
0.2593 0.2593 0.4907
0.2781 0.4745 0.6740
0.3260 0.9267 0.7219
0.3284 0.9216 0.3284
0.4745 0.2781 0.0733
0.4907 0.4907 0.2593
0.5093 0.5093 0.7407
0.5255 0.7219 0.9267
0.6716 0.0784 0.6716
0.6740 0.0733 0.2781
0.7219 0.5255 0.3260
0.7407 0.7407 0.5093
0.7706 0.7706 0.9794
0.9216 0.3284 0.9216
0.9267 0.3260 0.5255
0.9794 0.9794 0.7706
```



3.
Ca5Pb3: simulated PXRD pattern (Cu Kα), based on a crystal structure in the Materials Project, relaxed with PBE.
Peak positions follow from Bragg's law for the DFT cell and can differ from measured ones.

Largest 8 diffraction maxima, sorted by position, 2θ from 10° to 80°:
two_theta  I (rel.)
10.79  28
18.75  34
22.76  100
25.75  41
31.64  72
32.04  55
32.77  46
41.82  52

Cell and atoms:
```
Ca5Pb3
1.0
9.4669 0.0000 0.0000
-4.7335 8.1986 0.0000
0.0000 0.0000 6.9195
Ca Pb
10 6
Direct
0.0000 0.2644 0.2500
0.0000 0.7356 0.7500
0.2644 0.0000 0.2500
0.2644 0.2644 0.7500
0.3333 0.6667 0.0000
0.3333 0.6667 0.5000
0.6667 0.3333 0.0000
0.6667 0.3333 0.5000
0.7356 0.0000 0.7500
0.7356 0.7356 0.2500
0.0000 0.3905 0.7500
0.0000 0.6095 0.2500
0.3905 0.0000 0.7500
0.3905 0.3905 0.2500
0.6095 0.0000 0.2500
0.6095 0.6095 0.7500
```



4.
Rb8PO3: simulated PXRD pattern (Cu Kα), based on a crystal structure in the Materials Project, relaxed with PBE.
Peak positions follow from Bragg's law for the DFT cell and can differ from measured ones.

Largest 8 diffraction maxima, sorted by position, 2θ from 10° to 80°:
two_theta  I (rel.)
24.65  80
35.14  100
43.39  22
50.54  16
57.01  28
63.04  31
74.27  9
79.63  12

Cell and atoms:
```
Rb8PO3
1.0
7.2240 0.0000 0.0000
0.0000 7.2240 0.0000
0.0000 0.0000 7.2240
Rb P O
8 1 3
Direct
0.2378 0.2378 0.2378
0.2378 0.2378 0.7622
0.2378 0.7622 0.2378
0.2378 0.7622 0.7622
0.7622 0.2378 0.2378
0.7622 0.2378 0.7622
0.7622 0.7622 0.2378
0.7622 0.7622 0.7622
0.5000 0.5000 0.5000
0.0000 0.0000 0.5000
0.0000 0.5000 0.0000
0.5000 0.0000 0.0000
```



5.
LiMg2H7Os: simulated PXRD pattern (Cu Kα), based on a crystal structure in the Materials Project, relaxed with PBE.
Peak positions follow from Bragg's law for the DFT cell and can differ from measured ones.

Largest 8 diffraction maxima, sorted by position, 2θ from 10° to 80°:
two_theta  I (rel.)
16.44  92
21.76  86
27.39  100
38.16  44
40.07  52
41.81  51
47.61  23
51.48  22

Cell and atoms:
```
LiMg2H7Os
1.0
4.7165 0.0000 0.0000
-2.3582 4.0846 0.0000
0.0000 0.0000 10.7863
Li Mg H Os
2 4 14 2
Direct
0.0000 0.0000 0.2500
0.0000 0.0000 0.7500
0.3333 0.6667 0.0759
0.3333 0.6667 0.4241
0.6667 0.3333 0.5759
0.6667 0.3333 0.9241
0.1667 0.3333 0.5952
0.1667 0.3333 0.9048
0.1667 0.8333 0.5952
0.1667 0.8333 0.9048
0.3333 0.1667 0.0952
0.3333 0.1667 0.4048
0.3333 0.6667 0.2500
0.6667 0.3333 0.7500
0.6667 0.8333 0.5952
0.6667 0.8333 0.9048
0.8333 0.1667 0.0952
0.8333 0.1667 0.4048
0.8333 0.6667 0.0952
0.8333 0.6667 0.4048
0.0000 0.0000 0.0000
0.0000 0.0000 0.5000
```



6.
Rb3P: simulated PXRD pattern (Cu Kα), based on a crystal structure in the Materials Project, relaxed with PBE.
Peak positions follow from Bragg's law for the DFT cell and can differ from measured ones.

Largest 8 diffraction maxima, sorted by position, 2θ from 10° to 80°:
two_theta  I (rel.)
18.20  8
21.05  4
29.94  100
35.26  5
42.85  18
53.15  38
62.20  12
70.55  16

Cell and atoms:
```
Rb3P
1.0
0.0000 4.2211 4.2211
4.2211 0.0000 4.2211
4.2211 4.2211 0.0000
Rb P
3 1
Direct
0.0000 0.0000 0.0000
0.2500 0.2500 0.2500
0.7500 0.7500 0.7500
0.5000 0.5000 0.5000
```



7.
CaMgPd: simulated PXRD pattern (Cu Kα), based on a crystal structure in the Materials Project, relaxed with PBE.
Peak positions follow from Bragg's law for the DFT cell and can differ from measured ones.

Largest 8 diffraction maxima, sorted by position, 2θ from 10° to 80°:
two_theta  I (rel.)
24.05  96
26.01  58
31.79  34
33.53  100
37.77  33
39.76  43
41.68  34
42.30  49

Cell and atoms:
```
CaMgPd
1.0
7.3953 0.0000 0.0000
0.0000 4.3344 0.0000
0.0000 0.0000 8.5532
Ca Mg Pd
4 4 4
Direct
0.0297 0.2500 0.1755
0.4703 0.7500 0.6755
0.5297 0.2500 0.3245
0.9703 0.7500 0.8245
0.1405 0.2500 0.5622
0.3595 0.7500 0.0622
0.6405 0.2500 0.9378
0.8595 0.7500 0.4378
0.2286 0.7500 0.3745
0.2714 0.2500 0.8745
0.7286 0.7500 0.1255
0.7714 0.2500 0.6255
```